Starting from a structure optimized by DFT (PBE), the powder X-ray diffraction pattern of KHg5Te4 was computed for Cu Kα.

Crystal structure
abc: 9.394 13.038 5.854
angles: 90.00 90.00 90.00
Sites, in units of the cell vectors:
K: 0.250 0.250 0.001
K: 0.750 0.750 0.999
Hg: 0.047 0.553 0.306
Hg: 0.047 0.947 0.306
Hg: 0.250 0.750 0.710
Hg: 0.453 0.553 0.306
Hg: 0.453 0.947 0.306
Hg: 0.547 0.053 0.694
Hg: 0.547 0.447 0.694
Hg: 0.750 0.250 0.290
Hg: 0.953 0.053 0.694
Hg: 0.953 0.447 0.694
Te: 0.026 0.250 0.491
Te: 0.250 0.541 0.946
Te: 0.250 0.959 0.946
Te: 0.474 0.250 0.491
Te: 0.526 0.750 0.509
Te: 0.750 0.041 0.054
Te: 0.750 0.459 0.054
Te: 0.974 0.750 0.509

The 8 most intense peaks (5 to 70 degrees two-theta), sorted by position:
2θ 11.61, d = 7.621 Å, I 62.1
2θ 22.51, d = 3.949 Å, I 51.7
2θ 24.30, d = 3.664 Å, I 89.0
2θ 25.25, d = 3.527 Å, I 55.5
2θ 25.53, d = 3.490 Å, I 100.0
2θ 32.43, d = 2.761 Å, I 67.4
2θ 38.79, d = 2.321 Å, I 96.8
2θ 42.56, d = 2.124 Å, I 67.3

Starting from a structure optimized by DFT (PBE), the powder X-ray diffraction pattern of La3Pm4Bi8 was computed for Cu Kα.

Crystal structure
abc: 9.240 9.240 9.166
angles: 119.68 119.68 90.06
Sites, in units of the cell vectors:
La: 0.000 0.000 0.000
La: 0.000 0.500 0.000
La: 0.500 0.000 0.000
Pm: 0.000 0.500 0.500
Pm: 0.500 0.000 0.500
Pm: 0.500 0.500 0.000
Pm: 0.500 0.500 0.500
Bi: 0.249 0.751 0.500
Bi: 0.251 0.251 0.505
Bi: 0.252 0.748 0.000
Bi: 0.253 0.253 0.000
Bi: 0.747 0.747 0.000
Bi: 0.748 0.252 0.000
Bi: 0.749 0.749 0.495
Bi: 0.751 0.249 0.500

The 8 most intense peaks (5 to 70 degrees two-theta), sorted by position:
2θ 27.29, d = 3.268 Å, I 100.0
2θ 38.64, d = 2.330 Å, I 13.5
2θ 38.98, d = 2.311 Å, I 52.6
2θ 39.32, d = 2.291 Å, I 12.8
2θ 47.95, d = 1.897 Å, I 14.7
2θ 48.52, d = 1.876 Å, I 14.2
2θ 56.27, d = 1.635 Å, I 9.2
2θ 63.65, d = 1.462 Å, I 19.1

Starting from a structure optimized by DFT (PBE), the powder X-ray diffraction pattern of Y2ErTe2 was computed for Cu Kα.

Crystal structure
abc: 6.169 4.100 12.076
angles: 90.00 100.26 90.00
Sites, in units of the cell vectors:
Y: 0.110 0.250 0.240
Y: 0.278 0.250 0.622
Y: 0.722 0.750 0.378
Y: 0.890 0.750 0.760
Er: 0.211 0.250 0.966
Er: 0.789 0.750 0.034
Te: 0.237 0.750 0.428
Te: 0.415 0.750 0.818
Te: 0.585 0.250 0.182
Te: 0.763 0.250 0.572

The 8 most intense peaks (5 to 70 degrees two-theta), sorted by position:
2θ 26.41, d = 3.375 Å, I 46.8
2θ 26.56, d = 3.357 Å, I 39.0
2θ 29.01, d = 3.078 Å, I 54.3
2θ 31.40, d = 2.849 Å, I 100.0
2θ 32.98, d = 2.716 Å, I 53.7
2θ 38.73, d = 2.325 Å, I 48.3
2θ 40.56, d = 2.224 Å, I 29.5
2θ 44.18, d = 2.050 Å, I 40.1

Starting from a structure optimized by DFT (PBE), the powder X-ray diffraction pattern of NdEr14Hf was computed for Cu Kα.

Crystal structure
abc: 10.883 6.832 6.832
angles: 73.21 90.00 90.00
Sites, in units of the cell vectors:
Nd: 0.000 0.000 0.000
Er: 0.000 0.070 0.478
Er: 0.000 0.478 0.070
Er: 0.227 0.760 0.760
Er: 0.242 0.281 0.691
Er: 0.242 0.691 0.281
Er: 0.273 0.206 0.206
Er: 0.500 0.420 0.420
Er: 0.500 0.493 0.900
Er: 0.500 0.900 0.493
Er: 0.500 0.968 0.968
Er: 0.727 0.206 0.206
Er: 0.758 0.281 0.691
Er: 0.758 0.691 0.281
Er: 0.773 0.760 0.760
Hf: 0.000 0.555 0.555

The 8 most intense peaks (5 to 70 degrees two-theta), sorted by position:
2θ 31.45, d = 2.844 Å, I 14.7
2θ 31.93, d = 2.803 Å, I 100.0
2θ 32.65, d = 2.742 Å, I 16.0
2θ 32.92, d = 2.721 Å, I 31.0
2θ 33.70, d = 2.659 Å, I 10.4
2θ 47.05, d = 1.931 Å, I 10.4
2θ 53.73, d = 1.706 Å, I 13.2
2θ 58.16, d = 1.586 Å, I 14.9

Starting from a structure optimized by DFT (PBE), the powder X-ray diffraction pattern of Pr2Ga3Au was computed for Cu Kα.

Crystal structure
abc: 8.959 8.735 6.020
angles: 72.12 68.12 39.76
Sites, in units of the cell vectors:
Pr: 0.240 0.760 0.760
Pr: 0.250 0.250 0.250
Pr: 0.750 0.750 0.750
Pr: 0.760 0.240 0.240
Ga: 0.172 0.663 0.337
Ga: 0.337 0.828 0.172
Ga: 0.338 0.338 0.662
Ga: 0.662 0.662 0.338
Ga: 0.663 0.172 0.828
Ga: 0.828 0.337 0.663
Au: 0.169 0.169 0.831
Au: 0.831 0.831 0.169

The 8 most intense peaks (5 to 70 degrees two-theta), sorted by position:
2θ 15.87, d = 5.583 Å, I 5.5
2θ 22.73, d = 3.912 Å, I 8.4
2θ 32.07, d = 2.791 Å, I 100.0
2θ 40.26, d = 2.240 Å, I 54.7
2θ 45.13, d = 2.009 Å, I 13.1
2θ 52.37, d = 1.747 Å, I 24.9
2θ 62.06, d = 1.496 Å, I 30.1
2θ 68.05, d = 1.378 Å, I 22.5

Starting from a structure optimized by DFT (PBE), the powder X-ray diffraction pattern of Ti3VGa2N was computed for Cu Kα.

Crystal structure
abc: 3.822 4.011 13.697
angles: 90.00 90.00 90.00
Sites, in units of the cell vectors:
Ti: 0.000 0.000 0.000
Ti: 0.000 0.500 0.157
Ti: 0.000 0.500 0.843
Ti: 0.500 0.000 0.343
Ti: 0.500 0.000 0.657
Ti: 0.500 0.500 0.500
V: 0.000 0.000 0.500
V: 0.500 0.500 0.000
Ga: 0.000 0.500 0.356
Ga: 0.000 0.500 0.644
Ga: 0.500 0.000 0.144
Ga: 0.500 0.000 0.856
N: 0.000 0.500 0.000
N: 0.500 0.000 0.500

The 8 most intense peaks (5 to 70 degrees two-theta), sorted by position:
2θ 32.36, d = 2.767 Å, I 33.3
2θ 34.98, d = 2.565 Å, I 52.4
2θ 39.47, d = 2.283 Å, I 33.0
2θ 41.98, d = 2.152 Å, I 100.0
2θ 45.21, d = 2.006 Å, I 31.2
2θ 47.59, d = 1.911 Å, I 26.5
2θ 61.55, d = 1.507 Å, I 15.9
2θ 67.73, d = 1.383 Å, I 16.9

Repeat the sixth record exactly.
Starting from a structure optimized by DFT (PBE), the powder X-ray diffraction pattern of Ti3VGa2N was computed for Cu Kα.

Crystal structure
abc: 3.822 4.011 13.697
angles: 90.00 90.00 90.00
Sites, in units of the cell vectors:
Ti: 0.000 0.000 0.000
Ti: 0.000 0.500 0.157
Ti: 0.000 0.500 0.843
Ti: 0.500 0.000 0.343
Ti: 0.500 0.000 0.657
Ti: 0.500 0.500 0.500
V: 0.000 0.000 0.500
V: 0.500 0.500 0.000
Ga: 0.000 0.500 0.356
Ga: 0.000 0.500 0.644
Ga: 0.500 0.000 0.144
Ga: 0.500 0.000 0.856
N: 0.000 0.500 0.000
N: 0.500 0.000 0.500

The 8 most intense peaks (5 to 70 degrees two-theta), sorted by position:
2θ 32.36, d = 2.767 Å, I 33.3
2θ 34.98, d = 2.565 Å, I 52.4
2θ 39.47, d = 2.283 Å, I 33.0
2θ 41.98, d = 2.152 Å, I 100.0
2θ 45.21, d = 2.006 Å, I 31.2
2θ 47.59, d = 1.911 Å, I 26.5
2θ 61.55, d = 1.507 Å, I 15.9
2θ 67.73, d = 1.383 Å, I 16.9

Question: Number 4 is which compound?
Answer: NdEr14Hf